Record 1
Diffraction record for YMg14B. The X-ray powder pattern is computed, not measured: it uses a DFT-relaxed cell (GGA-PBE, Alexandria) and λ = 1.5418 Å (Cu Kα).
Lines closer than 0.1° are merged.

The 8 most intense peaks (2θ = 10–90°), by intensity:
2θ = 37.0°, I = 100
2θ = 32.1°, I = 26
2θ = 18.3°, I = 22
2θ = 36.3°, I = 21
2θ = 57.2°, I = 18
2θ = 69.7°, I = 17
2θ = 49.2°, I = 14
2θ = 70.1°, I = 13

Crystal structure
abc: 6.439 6.439 9.906
angles: 90.00 90.00 120.00
Atoms (fractional coordinates):
Y 0.000 0.000 0.000
Mg 0.016 0.508 0.000
Mg 0.158 0.316 0.275
Mg 0.158 0.316 0.725
Mg 0.158 0.842 0.275
Mg 0.158 0.842 0.725
Mg 0.492 0.508 0.000
Mg 0.492 0.984 0.000
Mg 0.507 0.015 0.500
Mg 0.507 0.493 0.500
Mg 0.667 0.333 0.239
Mg 0.667 0.333 0.761
Mg 0.684 0.842 0.275
Mg 0.684 0.842 0.725
Mg 0.985 0.493 0.500
B 0.000 0.000 0.500



Record 2
Diffraction record for Ho2Ag4Te5. The X-ray powder pattern is computed, not measured: it uses a DFT-relaxed cell (GGA-PBE, Alexandria) and λ = 1.5418 Å (Cu Kα).
Lines closer than 0.1° are merged.

The 8 most intense peaks (2θ = 10–90°), by intensity:
2θ = 28.8°, I = 100
2θ = 40.6°, I = 97
2θ = 41.9°, I = 73
2θ = 26.3°, I = 28
2θ = 23.9°, I = 26
2θ = 31.9°, I = 26
2θ = 74.7°, I = 26
2θ = 59.7°, I = 25

Crystal structure
abc: 19.288 19.288 19.288
angles: 13.23 13.23 13.23
Atoms (fractional coordinates):
Ho 0.136 0.136 0.136
Ho 0.864 0.864 0.864
Ag 0.316 0.316 0.316
Ag 0.415 0.415 0.415
Ag 0.585 0.585 0.585
Ag 0.684 0.684 0.684
Te 0.228 0.228 0.228
Te 0.368 0.368 0.368
Te 0.500 0.500 0.500
Te 0.632 0.632 0.632
Te 0.772 0.772 0.772



Record 3
Diffraction record for Ac3HgSb2Pd8. The X-ray powder pattern is computed, not measured: it uses a DFT-relaxed cell (GGA-PBE, Alexandria) and λ = 1.5418 Å (Cu Kα).
Lines closer than 0.1° are merged.

The 8 most intense peaks (2θ = 10–90°), by intensity:
2θ = 37.3°, I = 100
2θ = 31.3°, I = 58
2θ = 35.4°, I = 46
2θ = 40.0°, I = 44
2θ = 59.8°, I = 32
2θ = 24.2°, I = 24
2θ = 65.4°, I = 23
2θ = 30.3°, I = 23

Crystal structure
abc: 5.707 5.707 11.017
angles: 90.00 90.00 120.00
Atoms (fractional coordinates):
Ac 0.000 0.000 0.000
Ac 0.333 0.667 0.591
Ac 0.667 0.333 0.409
Hg 0.000 0.000 0.500
Sb 0.333 0.667 0.106
Sb 0.667 0.333 0.894
Pd 0.163 0.326 0.288
Pd 0.163 0.837 0.288
Pd 0.326 0.163 0.712
Pd 0.333 0.667 0.861
Pd 0.667 0.333 0.139
Pd 0.674 0.837 0.288
Pd 0.837 0.163 0.712
Pd 0.837 0.674 0.712



Record 4
Diffraction record for Tb3Dy4Pu. The X-ray powder pattern is computed, not measured: it uses a DFT-relaxed cell (GGA-PBE, Alexandria) and λ = 1.5418 Å (Cu Kα).
Lines closer than 0.1° are merged.

The 8 most intense peaks (2θ = 10–90°), by intensity:
2θ = 32.1°, I = 100
2θ = 30.7°, I = 63
2θ = 31.0°, I = 57
2θ = 38.0°, I = 36
2θ = 37.2°, I = 34
2θ = 63.9°, I = 28
2θ = 55.9°, I = 21
2θ = 27.0°, I = 21

Crystal structure
abc: 3.417 11.525 12.757
angles: 90.00 90.00 90.00
Atoms (fractional coordinates):
Tb 0.000 0.000 0.000
Tb 0.000 0.500 0.237
Tb 0.000 0.500 0.763
Tb 0.500 0.000 0.263
Tb 0.500 0.000 0.737
Tb 0.500 0.500 0.500
Dy 0.000 0.248 0.368
Dy 0.000 0.248 0.632
Dy 0.000 0.752 0.368
Dy 0.000 0.752 0.632
Dy 0.500 0.252 0.132
Dy 0.500 0.252 0.868
Dy 0.500 0.748 0.132
Dy 0.500 0.748 0.868
Pu 0.000 0.000 0.500
Pu 0.500 0.500 0.000



Record 5
Diffraction record for Ba6Sr3Li. The X-ray powder pattern is computed, not measured: it uses a DFT-relaxed cell (GGA-PBE, Alexandria) and λ = 1.5418 Å (Cu Kα).
Lines closer than 0.1° are merged.

The 8 most intense peaks (2θ = 10–90°), by intensity:
2θ = 24.2°, I = 100
2θ = 28.0°, I = 51
2θ = 40.1°, I = 39
2θ = 47.3°, I = 33
2θ = 47.4°, I = 11
2θ = 49.6°, I = 10
2θ = 63.6°, I = 9
2θ = 72.8°, I = 8

Crystal structure
abc: 7.789 7.789 11.051
angles: 90.00 90.00 120.00
Atoms (fractional coordinates):
Ba 0.000 0.355 0.321
Ba 0.000 0.645 0.679
Ba 0.355 0.000 0.321
Ba 0.355 0.355 0.679
Ba 0.645 0.000 0.679
Ba 0.645 0.645 0.321
Sr 0.000 0.000 0.000
Sr 0.333 0.667 0.000
Sr 0.667 0.333 0.000
Li 0.000 0.000 0.500



Record 6
Diffraction record for Ce3DyTl3S8. The X-ray powder pattern is computed, not measured: it uses a DFT-relaxed cell (GGA-PBE, Alexandria) and λ = 1.5418 Å (Cu Kα).
Lines closer than 0.1° are merged.

The 8 most intense peaks (2θ = 10–90°), by intensity:
2θ = 29.6°, I = 100
2θ = 26.2°, I = 55
2θ = 40.9°, I = 37
2θ = 43.9°, I = 37
2θ = 23.8°, I = 26
2θ = 50.5°, I = 22
2θ = 53.8°, I = 19
2θ = 13.0°, I = 17

Crystal structure
abc: 8.875 8.875 8.875
angles: 55.44 55.44 55.44
Atoms (fractional coordinates):
Ce 0.000 0.500 0.500
Ce 0.500 0.000 0.500
Ce 0.500 0.500 0.000
Dy 0.000 0.000 0.000
Tl 0.000 0.000 0.500
Tl 0.000 0.500 0.000
Tl 0.500 0.000 0.000
S 0.229 0.229 0.736
S 0.229 0.736 0.229
S 0.264 0.771 0.771
S 0.266 0.266 0.266
S 0.734 0.734 0.734
S 0.736 0.229 0.229
S 0.771 0.264 0.771
S 0.771 0.771 0.264



Record 7
Diffraction record for Dy2YHoSc4. The X-ray powder pattern is computed, not measured: it uses a DFT-relaxed cell (GGA-PBE, Alexandria) and λ = 1.5418 Å (Cu Kα).
Lines closer than 0.1° are merged.

The 8 most intense peaks (2θ = 10–90°), by intensity:
2θ = 32.2°, I = 100
2θ = 36.8°, I = 35
2θ = 63.4°, I = 27
2θ = 19.0°, I = 24
2θ = 25.8°, I = 24
2θ = 54.4°, I = 22
2θ = 38.6°, I = 15
2θ = 41.7°, I = 14

Crystal structure
abc: 4.887 4.887 9.326
angles: 90.00 90.00 90.00
Atoms (fractional coordinates):
Dy 0.000 0.000 0.000
Dy 0.500 0.500 0.500
Y 0.000 0.000 0.500
Ho 0.500 0.500 0.000
Sc 0.000 0.500 0.249
Sc 0.000 0.500 0.751
Sc 0.500 0.000 0.249
Sc 0.500 0.000 0.751



Record 8
Diffraction record for IrICl3. The X-ray powder pattern is computed, not measured: it uses a DFT-relaxed cell (GGA-PBE, Alexandria) and λ = 1.5418 Å (Cu Kα).
Lines closer than 0.1° are merged.

The 8 most intense peaks (2θ = 10–90°), by intensity:
2θ = 11.2°, I = 100
2θ = 20.7°, I = 64
2θ = 23.6°, I = 56
2θ = 30.7°, I = 31
2θ = 34.4°, I = 27
2θ = 38.1°, I = 25
2θ = 48.3°, I = 25
2θ = 43.8°, I = 23

Crystal structure
abc: 6.265 5.869 7.934
angles: 90.00 90.11 90.00
Atoms (fractional coordinates):
Ir 0.250 0.000 0.001
Ir 0.750 0.500 0.999
I 0.251 0.778 0.288
I 0.749 0.278 0.712
Cl 0.002 0.750 0.872
Cl 0.249 0.205 0.744
Cl 0.498 0.750 0.872
Cl 0.502 0.250 0.128
Cl 0.751 0.705 0.256
Cl 0.998 0.250 0.128



Record 9
Diffraction record for LuTlGa4. The X-ray powder pattern is computed, not measured: it uses a DFT-relaxed cell (GGA-PBE, Alexandria) and λ = 1.5418 Å (Cu Kα).
Lines closer than 0.1° are merged.

The 8 most intense peaks (2θ = 10–90°), by intensity:
2θ = 37.6°, I = 100
2θ = 31.9°, I = 64
2θ = 60.7°, I = 33
2θ = 56.9°, I = 25
2θ = 66.8°, I = 24
2θ = 39.4°, I = 15
2θ = 19.4°, I = 14
2θ = 79.3°, I = 11

Crystal structure
abc: 5.604 5.604 5.604
angles: 60.00 60.00 60.00
Atoms (fractional coordinates):
Lu 0.000 0.000 0.000
Tl 0.250 0.250 0.250
Ga 0.123 0.626 0.626
Ga 0.626 0.123 0.626
Ga 0.626 0.626 0.123
Ga 0.626 0.626 0.626



Record 10
Diffraction record for NpInAu6. The X-ray powder pattern is computed, not measured: it uses a DFT-relaxed cell (GGA-PBE, Alexandria) and λ = 1.5418 Å (Cu Kα).
Lines closer than 0.1° are merged.

The 8 most intense peaks (2θ = 10–90°), by intensity:
2θ = 36.5°, I = 100
2θ = 39.7°, I = 60
2θ = 33.7°, I = 33
2θ = 32.6°, I = 13
2θ = 50.7°, I = 11
2θ = 50.5°, I = 11
2θ = 65.7°, I = 10
2θ = 36.2°, I = 9

Crystal structure
abc: 4.916 5.003 7.750
angles: 81.97 89.87 60.67
Atoms (fractional coordinates):
Np 0.000 0.000 0.000
In 0.500 0.000 0.500
Au 0.138 0.722 0.412
Au 0.307 0.387 0.781
Au 0.349 0.301 0.151
Au 0.651 0.699 0.849
Au 0.693 0.613 0.219
Au 0.862 0.278 0.588



Record 11
Diffraction record for U24CrFe3. The X-ray powder pattern is computed, not measured: it uses a DFT-relaxed cell (GGA-PBE, Alexandria) and λ = 1.5418 Å (Cu Kα).
Lines closer than 0.1° are merged.

The 8 most intense peaks (2θ = 10–90°), by intensity:
2θ = 36.0°, I = 100
2θ = 36.3°, I = 99
2θ = 34.2°, I = 56
2θ = 62.4°, I = 21
2θ = 62.6°, I = 21
2θ = 65.6°, I = 21
2θ = 83.5°, I = 18
2θ = 83.0°, I = 17

Crystal structure
abc: 7.625 7.625 14.441
angles: 90.00 90.00 139.76
Atoms (fractional coordinates):
U 0.000 0.500 0.658
U 0.000 0.500 0.845
U 0.089 0.404 0.439
U 0.090 0.409 0.056
U 0.092 0.405 0.251
U 0.190 0.308 0.660
U 0.192 0.310 0.841
U 0.308 0.190 0.340
U 0.310 0.192 0.159
U 0.404 0.089 0.561
U 0.405 0.092 0.749
U 0.409 0.090 0.944
U 0.500 0.000 0.155
U 0.500 0.000 0.342
U 0.591 0.910 0.944
U 0.595 0.908 0.749
U 0.596 0.911 0.561
U 0.690 0.808 0.159
U 0.692 0.810 0.340
U 0.808 0.690 0.841
U 0.810 0.692 0.660
U 0.908 0.595 0.251
U 0.910 0.591 0.056
U 0.911 0.596 0.439
Cr 0.500 0.500 0.500
Fe 0.000 0.000 0.000
Fe 0.000 0.000 0.500
Fe 0.500 0.500 0.000



Record 12
Diffraction record for Nd2Ho6Sc. The X-ray powder pattern is computed, not measured: it uses a DFT-relaxed cell (GGA-PBE, Alexandria) and λ = 1.5418 Å (Cu Kα).
Lines closer than 0.1° are merged.

The 8 most intense peaks (2θ = 10–90°), by intensity:
2θ = 30.7°, I = 100
2θ = 32.2°, I = 88
2θ = 38.0°, I = 53
2θ = 31.1°, I = 46
2θ = 49.9°, I = 21
2θ = 56.2°, I = 16
2θ = 56.0°, I = 15
2θ = 51.3°, I = 12

Crystal structure
abc: 9.972 9.972 6.036
angles: 95.65 95.65 70.40
Atoms (fractional coordinates):
Nd 0.067 0.275 0.062
Nd 0.275 0.067 0.562
Nd 0.725 0.933 0.438
Nd 0.933 0.725 0.938
Ho 0.093 0.809 0.489
Ho 0.159 0.433 0.636
Ho 0.191 0.907 0.011
Ho 0.259 0.525 0.173
Ho 0.433 0.159 0.136
Ho 0.475 0.741 0.327
Ho 0.525 0.259 0.673
Ho 0.567 0.841 0.864
Ho 0.741 0.475 0.827
Ho 0.809 0.093 0.989
Ho 0.841 0.567 0.364
Ho 0.907 0.191 0.511
Sc 0.397 0.603 0.750
Sc 0.603 0.397 0.250



Record 13
Diffraction record for Tl5C7. The X-ray powder pattern is computed, not measured: it uses a DFT-relaxed cell (GGA-PBE, Alexandria) and λ = 1.5418 Å (Cu Kα).
Lines closer than 0.1° are merged.

The 8 most intense peaks (2θ = 10–90°), by intensity:
2θ = 33.4°, I = 100
2θ = 27.6°, I = 67
2θ = 26.3°, I = 44
2θ = 13.1°, I = 38
2θ = 39.9°, I = 30
2θ = 54.8°, I = 26
2θ = 55.2°, I = 25
2θ = 36.6°, I = 25

Crystal structure
abc: 7.213 7.213 7.213
angles: 96.66 96.66 140.19
Atoms (fractional coordinates):
Tl 0.000 0.000 0.000
Tl 0.297 0.297 0.630
Tl 0.297 0.667 0.000
Tl 0.667 0.297 0.000
Tl 0.667 0.667 0.370
C 0.061 0.471 0.590
C 0.221 0.721 0.500
C 0.471 0.061 0.590
C 0.471 0.881 0.410
C 0.517 0.517 0.000
C 0.721 0.221 0.500
C 0.881 0.471 0.410